Entry 1:
Structure and calculated XRD peak list of PbCO3 (the PBE geometry in Alexandria; Cu Kα (λ = 1.5418 Å)).

Structural model:
Lattice parameters (Å, degrees): 7.2173 5.3853 7.7316 90.00 90.00 90.00
Space group Pna2_1 (No. 33)
One atom of each set of equivalent atoms:
Pb: 0.0983 0.1003 0.0000 (multiplicity 4)
C: 0.1511 0.5703 0.1894 (multiplicity 4)
O: 0.0307 0.5580 0.0677 (multiplicity 4)
O: 0.1597 0.7626 0.2944 (multiplicity 4)
O: 0.2270 0.8925 0.7105 (multiplicity 4)

Most intense lines, 10 to 90 degrees two-theta, sorted by position:
- 2θ 20.1, rel. 76, hkl 0 1 1
- 2θ 20.6, rel. 64, hkl 1 1 0
- 2θ 23.0, rel. 59, hkl 0 0 2
- 2θ 23.6, rel. 56, hkl 1 1 1
- 2θ 27.3, rel. 100, hkl 2 0 1
- 2θ 31.1, rel. 59, hkl 1 1 2
- 2θ 37.5, rel. 66, hkl 1 2 1
- 2θ 38.0, rel. 37, hkl 2 1 2
- 2θ 42.8, rel. 61, hkl 3 1 1
- 2θ 43.1, rel. 30, hkl 2 0 3

---

Entry 2:
Structure and calculated XRD peak list of Pb2CS2O6 (the PBE geometry in Alexandria; Cu Kα (λ = 1.5418 Å)).

Structural model:
Lattice parameters (Å, degrees): 16.5952 8.8617 4.6786 90.00 90.00 90.00
Space group Pnma (No. 62)
One atom of each set of equivalent atoms:
Pb: 0.1362 0.0134 0.0908 (multiplicity 8)
C: 0.2129 0.2500 0.6197 (multiplicity 4)
S: 0.0025 0.2500 0.5796 (multiplicity 4)
S: 0.1135 0.7500 0.5686 (multiplicity 4)
O: 0.0127 0.1108 0.7526 (multiplicity 8)
O: 0.0607 0.2500 0.3362 (multiplicity 4)
O: 0.1863 0.2500 0.8825 (multiplicity 4)
O: 0.2261 0.1213 0.4957 (multiplicity 8)

Most intense lines, 10 to 90 degrees two-theta, sorted by position:
- 2θ 20.0, rel. 59, hkl 0 2 0
- 2θ 21.4, rel. 62, hkl 4 0 0
- 2θ 21.8, rel. 45, hkl 2 0 1
- 2θ 24.9, rel. 76, hkl 3 0 1
- 2θ 28.3, rel. 100, hkl 1 2 1
- 2θ 29.5, rel. 85, hkl 4 2 0
- 2θ 29.8, rel. 59, hkl 2 2 1
- 2θ 32.2, rel. 68, hkl 3 2 1
- 2θ 47.6, rel. 58, hkl 7 2 1
- 2θ 64.3, rel. 49, hkl 2 2 3

---

Entry 3:
Structure and calculated XRD peak list of SrPdCO5 (the PBE geometry in Alexandria; Cu Kα (λ = 1.5418 Å)).

Structural model:
Lattice parameters (Å, degrees): 6.9929 9.1020 6.7136 90.00 101.78 90.00
Space group C2/c (No. 15)
One atom of each set of equivalent atoms:
Sr: 0.0000 0.1328 0.2500 (multiplicity 4)
Pd: 0.0000 0.5000 0.0000 (multiplicity 4)
C: 0.0000 0.2304 0.7500 (multiplicity 4)
O: 0.0000 0.4007 0.2500 (multiplicity 4)
O: 0.1057 0.1362 0.8927 (multiplicity 8)
O: 0.1247 0.3191 0.6590 (multiplicity 8)

Most intense lines, 10 to 90 degrees two-theta, sorted by position:
- 2θ 16.2, rel. 34, hkl 1 1 0
- 2θ 23.8, rel. 21, hkl 0 2 1
- 2θ 26.0, rel. 100, hkl 2 0 0
- 2θ 29.3, rel. 77, hkl 1 1 -2
- 2θ 32.3, rel. 65, hkl 1 3 0
- 2θ 33.6, rel. 31, hkl 0 2 2
- 2θ 34.0, rel. 35, hkl 1 1 2
- 2θ 44.6, rel. 29, hkl 3 1 -2
- 2θ 48.7, rel. 24, hkl 0 4 2
- 2θ 53.0, rel. 24, hkl 2 4 -2

---

Entry 4:
Structure and calculated XRD peak list of Tl2PdC2O6 (the PBE geometry in Alexandria; Cu Kα (λ = 1.5418 Å)).

Structural model:
Lattice parameters (Å, degrees): 5.2044 5.2044 22.2283 90.00 90.00 120.00
Space group R-3m (No. 166, hexagonal axes)
One atom of each set of equivalent atoms:
Tl: 0.0000 0.0000 0.2172 (multiplicity 6)
Pd: 0.0000 0.0000 0.0000 (multiplicity 3)
C: 0.0000 0.0000 0.3948 (multiplicity 6)
O: 0.0442 0.5221 0.2687 (multiplicity 18)

Most intense lines, 10 to 90 degrees two-theta, sorted by position:
- 2θ 20.1, rel. 21, hkl 1 0 1
- 2θ 21.3, rel. 36, hkl 0 1 2
- 2θ 25.4, rel. 50, hkl 1 0 4
- 2θ 28.2, rel. 100, hkl 0 1 5
- 2θ 34.5, rel. 77, hkl 1 1 0
- 2θ 40.9, rel. 17, hkl 2 0 2
- 2θ 43.3, rel. 23, hkl 0 2 4
- 2θ 45.1, rel. 19, hkl 2 0 5
- 2θ 51.0, rel. 37, hkl 1 1 9
- 2θ 58.0, rel. 22, hkl 1 2 5

---

Entry 5:
Structure and calculated XRD peak list of Pm2CO (the PBE geometry in Alexandria; Cu Kα (λ = 1.5418 Å)).

Structural model:
Lattice parameters (Å, degrees): 3.6811 5.1090 7.3243 90.00 90.00 90.00
Space group Pmmn (No. 59, origin choice 2)
One atom of each set of equivalent atoms:
Pm: 0.2500 0.2500 0.1221 (multiplicity 2)
Pm: 0.2500 0.2500 0.6282 (multiplicity 2)
C: 0.2500 0.7500 0.1381 (multiplicity 2)
O: 0.2500 0.7500 0.6224 (multiplicity 2)

Most intense lines, 10 to 90 degrees two-theta, sorted by position:
- 2θ 29.9, rel. 100, hkl 1 1 0
- 2θ 30.0, rel. 99, hkl 0 1 2
- 2θ 34.5, rel. 100, hkl 1 0 2
- 2θ 35.1, rel. 48, hkl 0 2 0
- 2θ 49.5, rel. 18, hkl 2 0 0
- 2θ 50.1, rel. 68, hkl 1 2 2
- 2θ 59.0, rel. 31, hkl 2 1 2
- 2θ 59.2, rel. 30, hkl 1 1 4
- 2θ 59.9, rel. 30, hkl 1 3 0
- 2θ 62.2, rel. 18, hkl 2 2 0

---

Entry 6:
Structure and calculated XRD peak list of Pm3CSO (the PBE geometry in Alexandria; Cu Kα (λ = 1.5418 Å)).

Structural model:
Lattice parameters (Å, degrees): 7.9997 3.8461 8.5489 90.00 101.85 90.00
Space group P2_1/m (No. 11)
One atom of each set of equivalent atoms:
Pm: 0.0604 0.2500 0.3446 (multiplicity 2)
Pm: 0.2951 0.2500 0.9751 (multiplicity 2)
Pm: 0.3735 0.7500 0.6378 (multiplicity 2)
C: 0.1623 0.2500 0.6415 (multiplicity 2)
S: 0.3271 0.7500 0.2865 (multiplicity 2)
O: 0.4079 0.7500 0.9075 (multiplicity 2)

Most intense lines, 10 to 90 degrees two-theta, sorted by position:
- 2θ 25.5, rel. 46, hkl 0 1 1
- 2θ 27.1, rel. 96, hkl 2 0 1
- 2θ 27.8, rel. 57, hkl 2 0 -2
- 2θ 28.9, rel. 49, hkl 1 1 1
- 2θ 31.6, rel. 68, hkl 0 1 2
- 2θ 32.1, rel. 100, hkl 0 0 3
- 2θ 32.6, rel. 38, hkl 2 1 0
- 2θ 32.9, rel. 99, hkl 2 1 -1
- 2θ 47.3, rel. 34, hkl 0 2 0
- 2θ 50.9, rel. 43, hkl 2 1 -4

---

Entry 7:
Structure and calculated XRD peak list of Pr8C3O4 (the PBE geometry in Alexandria; Cu Kα (λ = 1.5418 Å)).

Structural model:
Lattice parameters (Å, degrees): 7.3678 7.3678 19.4388 90.00 90.00 120.00
Space group R-3m (No. 166, hexagonal axes)
One atom of each set of equivalent atoms:
Pr: 0.0000 0.0000 0.2403 (multiplicity 6)
Pr: 0.0006 0.5003 0.7562 (multiplicity 18)
C: 0.0000 0.5000 0.5000 (multiplicity 9)
O: 0.0000 0.0000 0.0000 (multiplicity 3)
O: 0.0000 0.0000 0.3597 (multiplicity 6)
O: 0.0000 0.0000 0.5000 (multiplicity 3)

Most intense lines, 10 to 90 degrees two-theta, sorted by position:
- 2θ 27.5, rel. 35, hkl 0 0 6
- 2θ 29.5, rel. 100, hkl 2 0 2
- 2θ 33.6, rel. 82, hkl 0 2 4
- 2θ 47.0, rel. 32, hkl 2 0 8
- 2θ 49.5, rel. 31, hkl 2 2 0
- 2θ 55.3, rel. 15, hkl 0 2 10
- 2θ 57.6, rel. 28, hkl 2 2 6
- 2θ 58.6, rel. 15, hkl 0 4 2
- 2θ 61.1, rel. 14, hkl 4 0 4
- 2θ 82.4, rel. 12, hkl 2 4 4

---

Entry 8:
Structure and calculated XRD peak list of PrCO4 (the PBE geometry in Alexandria; Cu Kα (λ = 1.5418 Å)).

Structural model:
Lattice parameters (Å, degrees): 4.5041 6.2454 6.7254 106.57 106.55 105.55
Space group P-1 (No. 2)
One atom of each set of equivalent atoms:
Pr: 0.0678 0.3432 0.2482 (multiplicity 2)
C: 0.3402 0.2440 0.8051 (multiplicity 2)
O: 0.1552 0.2893 0.6469 (multiplicity 2)
O: 0.1886 0.1006 0.8819 (multiplicity 2)
O: 0.3378 0.6548 0.1140 (multiplicity 2)
O: 0.3739 0.6552 0.6206 (multiplicity 2)

Most intense lines, 10 to 90 degrees two-theta, sorted by position:
- 2θ 16.0, rel. 96, hkl 0 1 0
- 2θ 17.1, rel. 100, hkl 0 1 -1
- 2θ 22.3, rel. 78, hkl 1 0 0
- 2θ 25.2, rel. 78, hkl -1 1 1
- 2θ 28.0, rel. 76, hkl 1 -1 1
- 2θ 29.8, rel. 45, hkl 0 2 -1
- 2θ 30.1, rel. 60, hkl 0 0 2
- 2θ 32.2, rel. 69, hkl 1 1 -2
- 2θ 40.4, rel. 35, hkl -2 1 1
- 2θ 49.0, rel. 35, hkl 1 -3 2

---

Entry 9:
Structure and calculated XRD peak list of PrTl2C2O6 (the PBE geometry in Alexandria; Cu Kα (λ = 1.5418 Å)).

Structural model:
Lattice parameters (Å, degrees): 9.7185 5.4873 9.2451 90.00 121.13 90.00
Space group C2/m (No. 12)
One atom of each set of equivalent atoms:
Pr: 0.0000 0.0000 0.0000 (multiplicity 2)
Tl: 0.1562 0.5000 0.4867 (multiplicity 4)
C: 0.2484 0.0000 0.8228 (multiplicity 4)
O: 0.1238 0.0000 0.8371 (multiplicity 4)
O: 0.1881 0.2959 0.1868 (multiplicity 8)

Most intense lines, 10 to 90 degrees two-theta, sorted by position:
- 2θ 11.2, rel. 52, hkl 0 0 1
- 2θ 18.3, rel. 47, hkl 2 0 -1
- 2θ 19.4, rel. 72, hkl 1 1 -1
- 2θ 22.5, rel. 62, hkl 0 0 2
- 2θ 25.1, rel. 100, hkl 1 1 1
- 2θ 32.6, rel. 50, hkl 0 2 0
- 2θ 32.6, rel. 70, hkl 3 1 -2
- 2θ 36.3, rel. 50, hkl 3 1 0
- 2θ 40.0, rel. 41, hkl 0 2 2
- 2θ 43.4, rel. 34, hkl 3 1 -4

---

Entry 10:
Structure and calculated XRD peak list of RbPtC2O8 (the PBE geometry in Alexandria; Cu Kα (λ = 1.5418 Å)).

Structural model:
Lattice parameters (Å, degrees): 7.6918 4.9877 8.3038 90.00 96.44 90.00
Space group C2/m (No. 12)
One atom of each set of equivalent atoms:
Rb: 0.0000 0.0000 0.0000 (multiplicity 2)
Pt: 0.0000 0.0000 0.5000 (multiplicity 2)
C: 0.1272 0.5000 0.3260 (multiplicity 4)
O: 0.0147 0.2723 0.3239 (multiplicity 8)
O: 0.1930 0.5000 0.1865 (multiplicity 4)
O: 0.2397 0.5000 0.4723 (multiplicity 4)

Most intense lines, 10 to 90 degrees two-theta, sorted by position:
- 2θ 10.7, rel. 100, hkl 0 0 1
- 2θ 21.3, rel. 82, hkl 1 1 0
- 2θ 21.5, rel. 37, hkl 0 0 2
- 2θ 23.3, rel. 75, hkl 2 0 0
- 2θ 29.5, rel. 60, hkl 1 1 -2
- 2θ 31.4, rel. 50, hkl 1 1 2
- 2θ 36.0, rel. 18, hkl 0 2 0
- 2θ 39.7, rel. 30, hkl 3 1 0
- 2θ 42.4, rel. 27, hkl 0 2 2
- 2θ 47.6, rel. 41, hkl 4 0 0

---

Entry 11:
Structure and calculated XRD peak list of Re2PtC12O12 (the PBE geometry in Alexandria; Cu Kα (λ = 1.5418 Å)).

Structural model:
Lattice parameters (Å, degrees): 6.8728 7.6138 10.5283 71.17 84.08 87.65
Space group P-1 (No. 2)
One atom of each set of equivalent atoms:
Re: 0.2101 0.1128 0.2343 (multiplicity 2)
Pt: 0.0000 0.0000 0.5000 (multiplicity 1)
C: 0.0280 0.7389 0.8306 (multiplicity 2)
C: 0.0942 0.8938 0.2051 (multiplicity 2)
C: 0.0989 0.7543 0.5316 (multiplicity 2)
C: 0.3080 0.3217 0.2872 (multiplicity 2)
C: 0.3548 0.1915 0.0580 (multiplicity 2)
C: 0.4317 0.9533 0.3184 (multiplicity 2)
O: 0.0270 0.7685 0.1858 (multiplicity 2)
O: 0.1600 0.6046 0.5518 (multiplicity 2)
O: 0.1662 0.6545 0.8700 (multiplicity 2)
O: 0.3659 0.4417 0.3176 (multiplicity 2)
O: 0.4379 0.1374 0.6348 (multiplicity 2)
O: 0.4436 0.2375 0.9524 (multiplicity 2)

Most intense lines, 10 to 90 degrees two-theta, sorted by position:
- 2θ 12.3, rel. 100, hkl 0 1 0
- 2θ 12.7, rel. 69, hkl 0 1 1
- 2θ 13.0, rel. 34, hkl 1 0 0
- 2θ 15.0, rel. 98, hkl 1 0 1
- 2θ 17.4, rel. 70, hkl 1 1 1
- 2θ 18.0, rel. 41, hkl 1 -1 0
- 2θ 23.4, rel. 26, hkl 0 2 1
- 2θ 30.4, rel. 31, hkl 2 1 2
- 2θ 30.9, rel. 29, hkl 2 -1 1
- 2θ 31.1, rel. 39, hkl 1 0 -3

---

Entry 12:
Structure and calculated XRD peak list of Pu2C2O (the PBE geometry in Alexandria; Cu Kα (λ = 1.5418 Å)).

Structural model:
Lattice parameters (Å, degrees): 12.8027 4.0073 6.2497 90.00 107.64 90.00
Space group C2/c (No. 15)
One atom of each set of equivalent atoms:
Pu: 0.1300 0.1688 0.1103 (multiplicity 8)
C: 0.2182 0.3788 0.5182 (multiplicity 8)
O: 0.0000 0.0984 0.7500 (multiplicity 4)

Most intense lines, 10 to 90 degrees two-theta, sorted by position:
- 2θ 23.4, rel. 33, hkl 1 1 0
- 2θ 29.0, rel. 100, hkl 1 1 1
- 2θ 29.1, rel. 59, hkl 2 0 -2
- 2θ 29.3, rel. 62, hkl 4 0 0
- 2θ 31.8, rel. 98, hkl 3 1 -1
- 2θ 37.4, rel. 45, hkl 2 0 2
- 2θ 45.8, rel. 21, hkl 6 0 -2
- 2θ 48.8, rel. 20, hkl 2 2 -1
- 2θ 49.7, rel. 27, hkl 1 1 -3
- 2θ 50.0, rel. 29, hkl 5 1 1